1.
Calculated powder XRD pattern
Compound: CoCu2SnH
Radiation: Cu Kα (weighted mean of Kα1 and Kα2)
Structure: a structure optimized by DFT (GGA-PBE)

Structure:
```
data_CoCu2SnH
_cell_length_a 3.849
_cell_length_b 3.849
_cell_length_c 3.857
_cell_angle_alpha 90.00
_cell_angle_beta 90.00
_cell_angle_gamma 90.00
_space_group_name_H-M_alt 'P 4/m m m'
_space_group_IT_number 123
_space_group_name_Hall '-P 4 2'
loop_
_atom_site_label
_atom_site_type_symbol
_atom_site_fract_x
_atom_site_fract_y
_atom_site_fract_z
Co1 Co 0.000 0.000 0.000
Cu1 Cu 0.000 0.500 0.500
Sn1 Sn 0.500 0.500 0.000
H1 H 0.000 0.000 0.500
```

Main lines, sorted by position (2θ = 10–80°):
2θ = 23.10°, d 3.850, I = 8.4, hkl 1 0 0
2θ = 32.88°, d 2.724, I = 8.2, hkl 1 0 1
2θ = 40.57°, d 2.224, I = 100.0, hkl 1 1 1
2θ = 47.13°, d 1.928, I = 16.3, hkl 0 0 2
2θ = 47.23°, d 1.924, I = 32.4, hkl 2 0 0
2θ = 53.18°, d 1.722, I = 4.5, hkl 2 1 0
2θ = 58.73°, d 1.572, I = 3.7, hkl 2 1 1
2θ = 68.97°, d 1.362, I = 29.9, hkl 2 2 0

---

2.
Calculated powder XRD pattern
Compound: PmSm8Er2
Radiation: Cu Kα (weighted mean of Kα1 and Kα2)
Structure: a structure optimized by DFT (GGA-PBE)

Structure:
```
data_PmSm8Er2
_cell_length_a 6.242
_cell_length_b 6.250
_cell_length_c 9.546
_cell_angle_alpha 83.68
_cell_angle_beta 89.99
_cell_angle_gamma 80.42
_space_group_name_H-M_alt 'P -1'
_space_group_IT_number 2
loop_
_space_group_symop_operation_xyz
'x,y,z'
'-x,-y,-z'
loop_
_atom_site_label
_atom_site_type_symbol
_atom_site_fract_x
_atom_site_fract_y
_atom_site_fract_z
Pm1 Pm 0.000 0.000 0.000
Sm1 Sm 0.091 0.453 0.183
Sm2 Sm 0.181 0.910 0.365
Sm3 Sm 0.274 0.364 0.545
Sm4 Sm 0.455 0.273 0.909
Er1 Er 0.364 0.818 0.727
```

Main lines, sorted by position (2θ = 10–80°):
2θ = 30.33°, d 2.947, I = 33.4, hkl 0 1 3
2θ = 30.36°, d 2.944, I = 100.0, hkl 1 2 0
2θ = 35.19°, d 2.550, I = 67.6, hkl 2 1 2
2θ = 50.62°, d 1.803, I = 48.3, hkl 1 3 3
2θ = 60.17°, d 1.538, I = 57.5, hkl 4 1 1
2θ = 63.12°, d 1.473, I = 8.3, hkl 2 4 0
2θ = 63.18°, d 1.472, I = 8.3, hkl 4 0 -2
2θ = 74.40°, d 1.275, I = 7.7, hkl 4 2 4

---

3.
Calculated powder XRD pattern
Compound: P4WCl
Radiation: Cu Kα (weighted mean of Kα1 and Kα2)
Structure: a structure optimized by DFT (GGA-PBE)

Structure:
```
data_P4WCl
_cell_length_a 7.179
_cell_length_b 7.179
_cell_length_c 7.179
_cell_angle_alpha 90.00
_cell_angle_beta 90.00
_cell_angle_gamma 90.00
_space_group_name_H-M_alt 'F -4 3 m'
_space_group_IT_number 216
_space_group_name_Hall 'F -4 2 3'
loop_
_atom_site_label
_atom_site_type_symbol
_atom_site_fract_x
_atom_site_fract_y
_atom_site_fract_z
P1 P 0.119 0.119 0.119
W1 W 0.250 0.250 0.750
Cl1 Cl 0.000 0.000 0.500
```

Main lines, sorted by position (2θ = 10–80°):
2θ = 21.44°, d 4.145, I = 64.9, hkl 1 1 1
2θ = 24.80°, d 3.590, I = 30.9, hkl 2 0 0
2θ = 35.36°, d 2.538, I = 66.7, hkl 2 2 0
2θ = 41.73°, d 2.165, I = 100.0, hkl 3 1 1
2θ = 43.68°, d 2.072, I = 18.6, hkl 2 2 2
2θ = 57.40°, d 1.605, I = 17.8, hkl 4 2 0
2θ = 63.48°, d 1.465, I = 23.8, hkl 4 2 2
2θ = 67.83°, d 1.382, I = 30.7, hkl 3 3 3